The following is a computed powder X-ray diffraction pattern of SbC2NO2F6. It was derived from a DFT-relaxed cell (GGA-PBE, Alexandria), using λ = 1.5418 Å (Cu Kα).

The 10 most intense peaks (10° ≤ 2θ ≤ 90°), in order of rising 2θ:
- 10.01 deg, I = 24, hkl 1 0 0
- 13.85 deg, I = 28, hkl 1 0 -2
- 16.76 deg, I = 35, hkl 1 0 2
- 18.62 deg, I = 55, hkl 1 1 0
- 19.55 deg, I = 100, hkl 0 1 2
- 20.09 deg, I = 42, hkl 2 0 0
- 20.96 deg, I = 22, hkl 1 1 -2
- 23.40 deg, I = 21, hkl 0 0 4
- 23.65 deg, I = 22, hkl 1 0 -4
- 34.67 deg, I = 18, hkl 3 0 2

Atomic structure:
```
48
Lattice="9.0039 0.0000 0.0000 0.0000 5.6596 0.0000 -2.9398 0.0000 15.2077" Properties=species:S:1:pos:R:3 pbc="T T T"
Sb 0.7214 1.3351 6.1322
Sb -0.7485 1.4947 13.7361
Sb 6.8126 4.1649 1.4716
Sb 5.3426 4.3245 9.0755
C 0.8291 3.7175 2.1610
C -0.6409 4.7720 9.7649
C 1.1766 3.3476 10.1970
C 2.6465 5.1418 2.5931
C 3.4175 0.5178 12.6146
C 4.8874 2.3120 5.0107
C 6.7049 0.8876 5.4428
C 5.2350 1.9422 13.0467
N 2.0913 4.0491 2.4331
N 0.6214 4.4404 10.0370
N 5.4427 1.2193 5.1707
N 3.9727 1.6106 12.7746
O -1.5580 3.9803 9.4808
O -0.0880 4.5091 1.8769
O 3.3067 0.4167 2.7905
O 1.8368 2.4131 10.3944
O 4.2273 3.2465 4.8133
O 2.7573 5.2429 12.4172
O 6.1521 1.1505 13.3308
O 7.6220 1.6793 5.7270
F -0.8589 0.4121 9.8154
F 0.6110 2.4177 2.2116
F -1.2617 3.0359 14.7289
F 0.2082 5.4535 7.1250
F 0.7295 0.3016 4.5244
F -0.7404 2.5282 12.1283
F 1.8877 0.4370 0.0813
F 0.4178 2.3928 7.6852
F 0.9433 2.9127 5.0958
F -0.5266 5.5767 12.6997
F 2.5810 1.1152 6.4316
F 1.1110 1.7146 14.0355
F 4.9530 3.9450 1.1723
F 3.4831 4.5444 8.7761
F 6.5906 0.0829 2.5081
F 5.1207 2.7469 10.1119
F 5.6463 3.2668 7.5225
F 4.1764 5.2226 15.1264
F 6.8044 3.1314 3.0795
F 5.3345 5.3580 10.6833
F 5.8558 0.2061 8.0827
F 7.3258 2.6237 0.4788
F 5.4531 3.2419 12.9962
F 6.9230 5.2475 5.3923
```